# ReIrBr6N5Cl
Simulated X-ray powder pattern, copper Kα. Input: a structure optimized by DFT (PBE).
Kinematic intensities with the Lorentz-polarization factor, no thermal factor.

Main lines, in order of rising 2θ (15 to 90 degrees two-theta):
d (Å)  I (rel.)  (hkl)
5.757  100.0  1 0 2
5.678  91.4  1 0 -2
5.548  76.2  0 2 0
4.412  29.5  1 2 2
4.358  32.4  -1 2 2
4.189  51.2  2 0 0
3.910  33.2  0 0 4
2.832  29.3  2 3 1
2.737  25.5  0 3 5
2.094  30.6  4 0 0

Structure:
abc: 8.379 11.431 16.115
angles: 76.08 89.13 89.50
Sites, in units of the cell vectors:
Re  0.242  0.284  0.141
Re  0.246  0.301  0.637
Re  0.754  0.699  0.363
Re  0.758  0.716  0.859
Ir  0.269  0.771  0.135
Ir  0.270  0.783  0.619
Ir  0.730  0.217  0.381
Ir  0.731  0.229  0.865
Br  0.027  0.162  0.639
Br  0.048  0.703  0.850
Br  0.049  0.467  0.629
Br  0.225  0.167  0.036
Br  0.229  0.256  0.796
Br  0.240  0.101  0.258
Br  0.247  0.478  0.027
Br  0.257  0.409  0.248
Br  0.261  0.345  0.481
Br  0.449  0.144  0.647
Br  0.456  0.450  0.639
Br  0.467  0.724  0.863
Br  0.533  0.276  0.137
Br  0.544  0.550  0.361
Br  0.551  0.856  0.353
Br  0.739  0.655  0.519
Br  0.743  0.591  0.752
Br  0.753  0.522  0.973
Br  0.760  0.899  0.742
Br  0.771  0.744  0.204
Br  0.775  0.833  0.964
Br  0.951  0.533  0.371
Br  0.952  0.297  0.150
Br  0.973  0.838  0.361
N  0.023  0.829  0.596
N  0.064  0.875  0.138
N  0.131  0.673  0.091
N  0.232  0.737  0.509
N  0.244  0.645  0.692
N  0.244  0.898  0.683
N  0.283  0.708  0.243
N  0.369  0.932  0.124
N  0.460  0.727  0.082
N  0.488  0.797  0.594
N  0.512  0.203  0.406
N  0.540  0.273  0.918
N  0.631  0.068  0.876
N  0.717  0.292  0.757
N  0.756  0.102  0.317
N  0.756  0.355  0.308
N  0.768  0.263  0.491
N  0.869  0.327  0.909
N  0.936  0.125  0.862
N  0.977  0.171  0.404
Cl  0.227  0.884  0.973
Cl  0.269  0.985  0.502
Cl  0.731  0.015  0.498
Cl  0.773  0.116  0.027